Entry 1:
Diffraction record for GdNi4B. The powder diffractogram is computed, not measured: it uses a cell relaxed with GGA-PBE and Cu Kα.
Kinematic intensities with the Lorentz-polarization factor, no thermal factor.

a = 5.0055 Å, b = 5.0055 Å, c = 6.9699 Å
α = 90.00°, β = 90.00°, γ = 120.00°
Space group P6/mmm (No. 191)
Asymmetric unit:
Gd  0.0000  0.0000  0.0000 [1 per cell]
Gd  0.0000  0.0000  0.5000 [1 per cell]
Ni  0.0000  0.5000  0.2073 [6 per cell]
Ni  0.3333  0.6667  0.5000 [2 per cell]
B  0.3333  0.6667  0.0000 [2 per cell]

Main lines, by angle (2θ from 10° to 90°):
2θ 20.5, d 4.335, I = 12
2θ 33.0, d 2.716, I = 88
2θ 35.9, d 2.503, I = 31
2θ 38.8, d 2.323, I = 12
2θ 41.7, d 2.167, I = 75
2θ 44.6, d 2.033, I = 100
2θ 52.5, d 1.742, I = 13
2θ 62.7, d 1.483, I = 28
2θ 65.2, d 1.430, I = 15
2θ 69.2, d 1.358, I = 15
2θ 70.6, d 1.335, I = 24
2θ 76.1, d 1.251, I = 21

---

Entry 2:
Diffraction record for Mg6AlCuO8. The powder diffractogram is computed, not measured: it uses a cell relaxed with GGA-PBE and Cu Kα.
Kinematic intensities with the Lorentz-polarization factor, no thermal factor.

a = 4.2101 Å, b = 4.2101 Å, c = 8.7126 Å
α = 90.00°, β = 90.00°, γ = 90.00°
Space group P4/mmm (No. 123)
Asymmetric unit:
Mg  0.0000  0.0000  0.0000 [1 per cell]
Mg  0.0000  0.5000  0.2553 [4 per cell]
Mg  0.5000  0.5000  0.0000 [1 per cell]
Al  0.0000  0.0000  0.5000 [1 per cell]
Cu  0.5000  0.5000  0.5000 [1 per cell]
O  0.0000  0.0000  0.2784 [2 per cell]
O  0.0000  0.5000  0.0000 [2 per cell]
O  0.0000  0.5000  0.5000 [2 per cell]
O  0.5000  0.5000  0.2322 [2 per cell]

Main lines, by angle (2θ from 10° to 90°):
2θ 10.2, d 8.713, I = 30
2θ 21.1, d 4.210, I = 8
2θ 23.5, d 3.791, I = 7
2θ 36.6, d 2.458, I = 33
2θ 37.6, d 2.391, I = 10
2θ 41.5, d 2.178, I = 53
2θ 43.0, d 2.105, I = 100
2θ 61.2, d 1.514, I = 57
2θ 62.4, d 1.488, I = 28
2θ 72.4, d 1.305, I = 8
2θ 74.5, d 1.273, I = 12
2θ 77.7, d 1.229, I = 25

---

Entry 3:
Diffraction record for HgC2S2N2. The powder diffractogram is computed, not measured: it uses a cell relaxed with GGA-PBE and Cu Kα.
Kinematic intensities with the Lorentz-polarization factor, no thermal factor.

a = 4.0900 Å, b = 5.8891 Å, c = 6.5588 Å
α = 93.99°, β = 90.02°, γ = 110.30°
Space group P1 (No. 1)
Asymmetric unit:
Hg  0.0000  0.0000  0.0000 [1 per cell]
C  0.2515  0.5158  0.2259 [1 per cell]
C  0.7302  0.4807  0.7780 [1 per cell]
S  0.1277  0.2497  0.3266 [1 per cell]
S  0.8720  0.7457  0.6778 [1 per cell]
N  0.3421  0.7079  0.1585 [1 per cell]
N  0.6262  0.2853  0.8401 [1 per cell]

Main lines, by angle (2θ from 10° to 90°):
2θ 13.5, d 6.541, I = 100
2θ 16.1, d 5.508, I = 52
2θ 20.3, d 4.376, I = 60
2θ 21.9, d 4.067, I = 24
2θ 23.2, d 3.834, I = 89
2θ 26.6, d 3.346, I = 79
2θ 32.8, d 2.732, I = 24
2θ 32.9, d 2.725, I = 33
2θ 34.9, d 2.572, I = 43
2θ 36.3, d 2.473, I = 35
2θ 44.3, d 2.043, I = 34
2θ 47.4, d 1.917, I = 23

---

Entry 4:
Diffraction record for LiCuF3. The powder diffractogram is computed, not measured: it uses a cell relaxed with GGA-PBE and Cu Kα.
Kinematic intensities with the Lorentz-polarization factor, no thermal factor.

a = 5.1313 Å, b = 5.1313 Å, c = 14.0181 Å
α = 90.00°, β = 90.00°, γ = 120.00°
Space group R3c (No. 161, hexagonal axes)
Asymmetric unit:
Li  0.0000  0.0000  0.0000 [6 per cell]
Cu  0.0000  0.0000  0.2049 [6 per cell]
F  0.0299  0.3521  0.2787 [18 per cell]

Main lines, by angle (2θ from 10° to 90°):
2θ 23.7, d 3.753, I = 100
2θ 32.5, d 2.752, I = 41
2θ 35.0, d 2.566, I = 16
2θ 40.1, d 2.249, I = 24
2θ 42.7, d 2.118, I = 14
2θ 48.5, d 1.877, I = 19
2θ 53.0, d 1.727, I = 39
2θ 56.3, d 1.633, I = 14
2θ 56.4, d 1.630, I = 7
2θ 61.2, d 1.515, I = 15
2θ 62.7, d 1.481, I = 18
2θ 86.6, d 1.124, I = 8

---

Copy entry 3 word for word.
Diffraction record for HgC2S2N2. The powder diffractogram is computed, not measured: it uses a cell relaxed with GGA-PBE and Cu Kα.
Kinematic intensities with the Lorentz-polarization factor, no thermal factor.

a = 4.0900 Å, b = 5.8891 Å, c = 6.5588 Å
α = 93.99°, β = 90.02°, γ = 110.30°
Space group P1 (No. 1)
Asymmetric unit:
Hg  0.0000  0.0000  0.0000 [1 per cell]
C  0.2515  0.5158  0.2259 [1 per cell]
C  0.7302  0.4807  0.7780 [1 per cell]
S  0.1277  0.2497  0.3266 [1 per cell]
S  0.8720  0.7457  0.6778 [1 per cell]
N  0.3421  0.7079  0.1585 [1 per cell]
N  0.6262  0.2853  0.8401 [1 per cell]

Main lines, by angle (2θ from 10° to 90°):
2θ 13.5, d 6.541, I = 100
2θ 16.1, d 5.508, I = 52
2θ 20.3, d 4.376, I = 60
2θ 21.9, d 4.067, I = 24
2θ 23.2, d 3.834, I = 89
2θ 26.6, d 3.346, I = 79
2θ 32.8, d 2.732, I = 24
2θ 32.9, d 2.725, I = 33
2θ 34.9, d 2.572, I = 43
2θ 36.3, d 2.473, I = 35
2θ 44.3, d 2.043, I = 34
2θ 47.4, d 1.917, I = 23

---

Q: What is the formula in the second record?
A: Mg6AlCuO8